[1]
Structure and calculated powder diffractogram of Li2Mn2NiO6 (DFT lattice parameters and positions (PBE+U); Cu Kα).

Crystal structure
Unit cell a=6.595 b=6.645 c=8.338 alpha=70.04 beta=70.80 gamma=82.85
Space group P-1 (No. 2)
One atom of each set of equivalent atoms:
1 Li 0.000 0.165 0.335
2 Li 0.320 0.500 0.667
3 Li 0.321 0.164 0.004
4 Mn 0.325 0.835 0.835
5 Mn 0.327 0.503 0.169
6 Mn 0.331 0.165 0.501
7 Ni 0.000 0.500 0.500
8 Ni 0.004 0.830 0.168
9 O 0.026 0.845 0.909
10 O 0.027 0.503 0.252
11 O 0.036 0.168 0.574
12 O 0.329 0.145 0.739
13 O 0.339 0.814 0.066
14 O 0.341 0.471 0.407
15 O 0.347 0.851 0.594
16 O 0.350 0.193 0.253
17 O 0.354 0.518 0.922

Top 10 peaks for 2θ = 15–90°, sorted by position:
d (Å), 2theta, I_rel, index
4.897, 18.12, 100, 1 1 1
2.494, 36.02, 12, -2 1 1
2.485, 36.14, 23, 0 0 3
2.379, 37.81, 7, 1 1 -2
2.083, 43.45, 41, 1 1 4
2.076, 43.60, 20, 3 0 0
1.907, 47.68, 7, 2 2 -1
1.617, 56.96, 10, 2 2 5
1.480, 62.77, 11, 3 3 0
1.460, 63.72, 11, -2 1 4

---

[2]
Structure and calculated powder diffractogram of Li5Mn3Ni2O10 (DFT lattice parameters and positions (PBE+U); Cu Kα).

Crystal structure
Unit cell a=5.049 b=5.150 c=7.873 alpha=107.37 beta=102.90 gamma=99.43
Space group P-1 (No. 2)
One atom of each set of equivalent atoms:
1 Li 0.000 0.000 0.000
2 Li 0.108 0.220 0.735
3 Li 0.302 0.565 0.075
4 Mn 0.191 0.398 0.395
5 Mn 0.500 0.000 0.500
6 Ni 0.402 0.812 0.818
7 O 0.025 0.593 0.826
8 O 0.137 0.761 0.544
9 O 0.264 0.041 0.282
10 O 0.357 0.194 0.947
11 O 0.462 0.389 0.628

Top 10 peaks for 2θ = 15–90°, sorted by position:
d (Å), 2theta, I_rel, index
4.818, 18.41, 100, 0 1 -1
4.768, 18.61, 35, 1 0 0
3.885, 22.89, 27, 1 -1 0
3.379, 26.38, 29, 1 0 -2
2.540, 35.34, 19, 1 0 2
2.133, 42.38, 68, -1 2 1
2.086, 43.37, 64, 1 -1 3
2.072, 43.68, 65, 2 1 -2
1.475, 63.01, 21, 1 2 -5
1.466, 63.44, 35, 2 -3 2

---

[3]
Structure and calculated powder diffractogram of Li3MnNi2O6 (DFT lattice parameters and positions (PBE+U); Cu Kα).

Crystal structure
Unit cell a=12.917 b=2.890 c=5.894 alpha=90.00 beta=103.21 gamma=90.00
Space group C2/m (No. 12)
One atom of each set of equivalent atoms:
1 Li 0.000 0.000 0.000
2 Li 0.169 0.500 0.328
3 Mn 0.000 0.000 0.500
4 Ni 0.169 0.500 0.838
5 O 0.002 0.500 0.280
6 O 0.154 0.000 0.589
7 O 0.167 0.000 0.071

Top 10 peaks for 2θ = 15–90°, sorted by position:
d (Å), 2theta, I_rel, index
4.823, 18.40, 100, 2 0 -1
2.525, 35.56, 16, 4 0 1
2.479, 36.24, 27, 1 1 1
2.411, 37.30, 11, 4 0 -2
2.379, 37.81, 10, 3 1 0
2.096, 43.16, 26, 6 0 0
2.063, 43.88, 49, 1 1 -2
1.902, 47.83, 10, 5 1 -1
1.595, 57.80, 10, 3 1 -3
1.470, 63.24, 27, 5 1 2